Theoretical X-ray powder pattern
Compound: Zn2PbAu
Radiation: Cu Ka
Structure: a crystal structure in Alexandria, relaxed with PBE
Peak positions follow from Bragg's law for the DFT cell and can differ from measured ones.

Most intense lines, 2θ from 5° to 70°, sorted by position:
2theta	d/Å	I/Imax	(hkl)
23.20	3.835	500	2 0 0
29.99	2.980	23	2 1 1
33.03	2.712	842	2 2 0
34.08	2.631	1000	1 1 2
47.42	1.917	294	4 0 0
48.20	1.888	750	3 1 2
53.43	1.715	141	4 2 0
59.67	1.549	196	3 3 2
61.67	1.504	20	0 0 4
66.81	1.400	228	2 0 4
69.31	1.356	85	4 4 0
69.92	1.345	244	5 1 2

Structure:
a = 7.6695 Å, b = 7.6695 Å, c = 6.0165 Å
α = 90.00°, β = 90.00°, γ = 90.00°
Space group I-42d (No. 122)
One atom of each set of equivalent atoms:
Zn (0.2131, 0.2500, 0.1250) (multiplicity 8)
Pb (0.0000, 0.0000, 0.5000) (multiplicity 4)
Au (0.0000, 0.0000, 0.0000) (multiplicity 4)

---

Theoretical X-ray powder pattern
Compound: KMg2P2O8
Radiation: Cu Ka
Structure: a crystal structure in Alexandria, relaxed with PBE
Peak positions follow from Bragg's law for the DFT cell and can differ from measured ones.

Most intense lines, 2θ from 5° to 70°, sorted by position:
2theta	d/Å	I/Imax	(hkl)
18.33	4.839	515	1 1 -1
18.79	4.722	350	2 0 -2
21.02	4.226	1000	1 1 1
21.57	4.121	767	4 0 0
22.21	4.002	316	4 0 -2
25.42	3.504	235	3 1 -2
27.93	3.195	278	2 0 2
28.04	3.183	391	3 1 1
28.86	3.094	350	5 1 -1
29.56	3.022	270	6 0 -2
31.76	2.818	311	0 2 0
32.58	2.748	493	3 1 -3

Structure:
a = 18.5616 Å, b = 5.6351 Å, c = 9.4592 Å
α = 90.00°, β = 117.38°, γ = 90.00°
Space group C2/c (No. 15)
One atom of each set of equivalent atoms:
K (0.0000, 0.1686, 0.2500) (multiplicity 4)
Mg (0.1509, 0.3121, 0.7448) (multiplicity 8)
P (0.1395, 0.1871, 0.0697) (multiplicity 8)
O (0.1048, 0.2448, 0.8900) (multiplicity 8)
O (0.1067, 0.0585, 0.5861) (multiplicity 8)
O (0.1088, 0.3776, 0.1477) (multiplicity 8)
O (0.2324, 0.1880, 0.1496) (multiplicity 8)

---

Theoretical X-ray powder pattern
Compound: Na8B13C3
Radiation: Cu Ka
Structure: a crystal structure in Alexandria, relaxed with PBE
Peak positions follow from Bragg's law for the DFT cell and can differ from measured ones.

Most intense lines, 2θ from 5° to 70°, sorted by position:
2theta	d/Å	I/Imax	(hkl)
20.62	4.308	44	4 0 0
34.14	2.627	227	2 0 -4
35.76	2.511	351	1 1 -2
40.21	2.243	1000	6 0 -4
41.63	2.169	959	3 1 2
41.64	2.169	956	5 1 -2
41.94	2.154	712	8 0 0
55.14	1.666	117	6 0 4
56.27	1.635	194	9 1 -2
62.17	1.493	349	3 1 -6
65.29	1.429	155	0 2 0
66.25	1.411	45	1 1 6

Structure:
a = 18.0112 Å, b = 2.8581 Å, c = 10.5066 Å
α = 90.00°, β = 106.92°, γ = 90.00°
Space group Cm (No. 8)
One atom of each set of equivalent atoms:
Na (0.0000, 0.0000, 0.0000) (multiplicity 2)
Na (0.0000, 0.0000, 0.5001) (multiplicity 2)
Na (0.0016, 0.5000, 0.2497) (multiplicity 2)
Na (0.2512, 0.5000, 0.8759) (multiplicity 2)
Na (0.2516, 0.0000, 0.1247) (multiplicity 2)
Na (0.2518, 0.5000, 0.3751) (multiplicity 2)
Na (0.2528, 0.0000, 0.6265) (multiplicity 2)
Na (0.4987, 0.0000, 0.7490) (multiplicity 2)
B (0.1254, 0.5000, 0.4842) (multiplicity 2)
B (0.1259, 0.0000, 0.2258) (multiplicity 2)
B (0.1256, 0.0000, 0.3869) (multiplicity 2)
B (0.1262, 0.0000, 0.7411) (multiplicity 2)
B (0.1264, 0.0000, 0.9069) (multiplicity 2)
B (0.1262, 0.5000, 0.1299) (multiplicity 2)
B (0.1260, 0.5000, 0.6473) (multiplicity 2)
B (0.3757, 0.0000, 0.3355) (multiplicity 2)
B (0.3758, 0.0000, 0.5112) (multiplicity 2)
B (0.3762, 0.0000, 0.8733) (multiplicity 2)
B (0.3757, 0.5000, 0.1035) (multiplicity 2)
B (0.3760, 0.5000, 0.6054) (multiplicity 2)
B (0.3763, 0.5000, 0.7775) (multiplicity 2)
C (0.1267, 0.5000, 0.9796) (multiplicity 2)
C (0.3755, 0.5000, 0.2625) (multiplicity 2)
C (0.3757, 0.0000, 0.0287) (multiplicity 2)

---

Theoretical X-ray powder pattern
Compound: CaMg14Fe
Radiation: Cu Ka
Structure: a crystal structure in Alexandria, relaxed with PBE
Peak positions follow from Bragg's law for the DFT cell and can differ from measured ones.

Most intense lines, 2θ from 5° to 70°, sorted by position:
2theta	d/Å	I/Imax	(hkl)
8.58	10.302	33	0 0 1
16.01	5.537	80	1 0 0
23.59	3.771	46	1 0 2
32.34	2.768	253	2 0 0
34.84	2.575	245	0 0 4
36.86	2.439	1000	2 0 2
38.52	2.337	26	1 0 4
48.26	1.886	149	2 0 4
57.67	1.598	171	2 2 0
63.79	1.459	156	2 0 6
67.69	1.384	26	4 0 0
69.17	1.358	174	2 2 4

Structure:
a = 6.3934 Å, b = 6.3934 Å, c = 10.3018 Å
α = 90.00°, β = 90.00°, γ = 120.00°
Space group P-6m2 (No. 187)
One atom of each set of equivalent atoms:
Ca (0.0000, 0.0000, 0.0000) (multiplicity 1)
Mg (0.0105, 0.5052, 0.0000) (multiplicity 3)
Mg (0.1628, 0.3255, 0.2693) (multiplicity 6)
Mg (0.5040, 0.0080, 0.5000) (multiplicity 3)
Mg (0.6667, 0.3333, 0.2404) (multiplicity 2)
Fe (0.0000, 0.0000, 0.5000) (multiplicity 1)

---

Theoretical X-ray powder pattern
Compound: PrY3Ho3
Radiation: Cu Ka
Structure: a crystal structure in Alexandria, relaxed with PBE
Peak positions follow from Bragg's law for the DFT cell and can differ from measured ones.

Most intense lines, 2θ from 5° to 70°, sorted by position:
2theta	d/Å	I/Imax	(hkl)
23.41	3.800	440	0 2 1
29.64	3.014	261	2 1 1
30.13	2.966	924	2 0 2
31.31	2.857	1000	3 0 0
32.69	2.739	307	0 0 3
35.28	2.544	779	1 2 2
36.30	2.475	205	2 2 0
39.46	2.284	262	1 3 1
44.00	2.058	202	3 1 2
45.89	1.977	330	3 0 3
55.72	1.650	266	3 3 0
66.12	1.413	201	3 3 3

Structure:
a = 9.8981 Å, b = 9.8981 Å, c = 8.2172 Å
α = 90.00°, β = 90.00°, γ = 120.00°
Space group R3m (No. 160, hexagonal axes)
One atom of each set of equivalent atoms:
Pr (0.0000, 0.0000, 0.0000) (multiplicity 3)
Y (0.0666, 0.5333, 0.3865) (multiplicity 9)
Ho (0.0989, 0.5494, 0.9611) (multiplicity 9)

---

Theoretical X-ray powder pattern
Compound: Tm4HgPSe2
Radiation: Cu Ka
Structure: a crystal structure in Alexandria, relaxed with PBE
Peak positions follow from Bragg's law for the DFT cell and can differ from measured ones.

Most intense lines, 2θ from 5° to 70°, sorted by position:
2theta	d/Å	I/Imax	(hkl)
15.36	5.770	63	1 0 -1
27.29	3.268	97	1 1 -1
31.00	2.885	508	2 0 -2
31.15	2.871	1000	1 1 1
43.48	2.081	194	2 0 2
44.37	2.042	372	1 1 -3
44.68	2.028	372	3 1 -1
45.76	1.983	176	0 2 0
54.09	1.696	99	0 0 4
54.62	1.680	100	4 0 0
56.30	1.634	189	2 2 -2
64.96	1.436	118	2 2 2

Structure:
a = 7.0824 Å, b = 3.9654 Å, c = 7.1469 Å
α = 90.00°, β = 108.39°, γ = 90.00°
Space group P2/m (No. 10)
One atom of each set of equivalent atoms:
Tm (0.2364, 0.0000, 0.2338) (multiplicity 2)
Tm (0.2483, 0.5000, 0.7612) (multiplicity 2)
Hg (0.0000, 0.0000, 0.5000) (multiplicity 1)
P (0.0000, 0.5000, 0.0000) (multiplicity 1)
Se (0.5000, 0.0000, 0.0000) (multiplicity 1)
Se (0.5000, 0.5000, 0.5000) (multiplicity 1)

---

Theoretical X-ray powder pattern
Compound: Rb4Cd3CuF12
Radiation: Cu Ka
Structure: a crystal structure in Alexandria, relaxed with PBE
Peak positions follow from Bragg's law for the DFT cell and can differ from measured ones.

Most intense lines, 2θ from 5° to 70°, sorted by position:
2theta	d/Å	I/Imax	(hkl)
14.19	6.241	17	1 1 0
20.12	4.413	59	2 0 0
24.71	3.603	9	2 1 1
28.61	3.120	1000	2 2 0
32.07	2.791	9	3 1 0
35.22	2.548	23	2 2 2
38.15	2.359	10	3 2 1
40.90	2.207	395	4 0 0
45.99	1.974	23	4 2 0
50.67	1.802	401	4 2 2
59.22	1.560	241	4 4 0
67.07	1.396	175	6 2 0

Structure:
a = 8.8260 Å, b = 8.8260 Å, c = 8.8260 Å
α = 90.00°, β = 90.00°, γ = 90.00°
Space group Im-3m (No. 229)
One atom of each set of equivalent atoms:
Rb (0.2500, 0.2500, 0.2500) (multiplicity 8)
Cd (0.0000, 0.0000, 0.5000) (multiplicity 6)
Cu (0.0000, 0.0000, 0.0000) (multiplicity 2)
F (0.0000, 0.0000, 0.2374) (multiplicity 12)
F (0.0000, 0.2500, 0.5000) (multiplicity 12)

---

Theoretical X-ray powder pattern
Compound: Pm3Nd2Tm5
Radiation: Cu Ka
Structure: a crystal structure in Alexandria, relaxed with PBE
Peak positions follow from Bragg's law for the DFT cell and can differ from measured ones.

Most intense lines, 2θ from 5° to 70°, sorted by position:
2theta	d/Å	I/Imax	(hkl)
30.24	2.956	1000	2 4 0
30.67	2.915	430	2 2 1
30.73	2.910	428	2 2 -3
32.15	2.784	195	0 4 2
33.79	2.653	418	4 0 -2
37.68	2.387	143	2 6 -1
38.83	2.319	148	2 0 2
45.21	2.006	151	0 8 0
49.09	1.856	185	0 6 3
58.26	1.584	161	6 4 -2
65.41	1.427	193	2 10 -3
67.22	1.393	212	2 4 -6

Structure:
a = 10.6103 Å, b = 16.0378 Å, c = 9.3715 Å
α = 90.00°, β = 124.36°, γ = 90.00°
Space group C2/c (No. 15)
One atom of each set of equivalent atoms:
Pm (0.0000, 0.2292, 0.2500) (multiplicity 4)
Pm (0.1551, 0.1219, 0.0484) (multiplicity 8)
Nd (0.1436, 0.3771, 0.5482) (multiplicity 8)
Tm (0.0000, 0.0264, 0.2500) (multiplicity 4)
Tm (0.0000, 0.2693, 0.7500) (multiplicity 4)
Tm (0.0000, 0.4763, 0.7500) (multiplicity 4)
Tm (0.2385, 0.1157, 0.7314) (multiplicity 8)

---

Theoretical X-ray powder pattern
Compound: TbNd2DyY6
Radiation: Cu Ka
Structure: a crystal structure in Alexandria, relaxed with PBE
Peak positions follow from Bragg's law for the DFT cell and can differ from measured ones.

Most intense lines, 2θ from 5° to 70°, sorted by position:
2theta	d/Å	I/Imax	(hkl)
11.75	7.532	243	0 2 0
27.42	3.253	298	2 2 -2
28.63	3.118	451	1 3 2
30.17	2.962	531	0 2 3
30.36	2.944	544	3 1 -1
31.35	2.853	1000	1 5 0
31.77	2.816	792	2 2 2
32.20	2.780	259	1 5 -1
33.12	2.704	602	1 3 -3
52.14	1.754	191	4 2 -4
57.43	1.605	178	2 0 -6
61.80	1.501	157	6 0 -2

Structure:
a = 9.0933 Å, b = 15.0641 Å, c = 9.8087 Å
α = 90.00°, β = 99.85°, γ = 90.00°
Space group C2/c (No. 15)
One atom of each set of equivalent atoms:
Tb (0.0000, 0.0181, 0.2500) (multiplicity 4)
Nd (0.2428, 0.0499, 0.5441) (multiplicity 8)
Dy (0.0000, 0.4061, 0.7500) (multiplicity 4)
Y (0.0663, 0.1888, 0.9432) (multiplicity 8)
Y (0.1006, 0.3957, 0.1182) (multiplicity 8)
Y (0.2022, 0.2221, 0.3139) (multiplicity 8)

---

Theoretical X-ray powder pattern
Compound: Rb2LiFeI6
Radiation: Cu Ka
Structure: a crystal structure in Alexandria, relaxed with PBE
Peak positions follow from Bragg's law for the DFT cell and can differ from measured ones.

Most intense lines, 2θ from 5° to 70°, sorted by position:
2theta	d/Å	I/Imax	(hkl)
12.53	7.064	118	0 0 1
12.74	6.947	149	1 0 0
25.21	3.532	233	0 0 2
25.64	3.474	169	2 0 0
28.64	3.117	1000	2 0 1
36.27	2.477	291	0 2 2
45.21	2.006	213	2 2 0
46.60	1.949	215	2 0 3
52.47	1.744	167	2 2 2
54.40	1.687	148	0 4 1
58.64	1.574	81	0 2 4
66.95	1.398	66	0 4 3

Structure:
a = 8.0223 Å, b = 8.0223 Å, c = 7.0639 Å
α = 90.00°, β = 90.00°, γ = 120.00°
Space group P-3m1 (No. 164)
One atom of each set of equivalent atoms:
Rb (0.3333, 0.6667, 0.3010) (multiplicity 2)
Li (0.0000, 0.0000, 0.0000) (multiplicity 1)
Fe (0.0000, 0.0000, 0.5000) (multiplicity 1)
I (0.1565, 0.3130, 0.7212) (multiplicity 6)

---

Theoretical X-ray powder pattern
Compound: Tb3Ga3Rh
Radiation: Cu Ka
Structure: a crystal structure in Alexandria, relaxed with PBE
Peak positions follow from Bragg's law for the DFT cell and can differ from measured ones.

Most intense lines, 2θ from 5° to 70°, sorted by position:
2theta	d/Å	I/Imax	(hkl)
32.19	2.780	894	1 1 3
32.34	2.768	531	3 1 -1
32.59	2.747	227	3 1 -2
32.82	2.729	1000	4 0 -2
37.10	2.423	449	3 1 -4
39.49	2.282	628	3 1 2
39.63	2.274	185	4 0 -5
40.61	2.222	283	0 0 6
42.13	2.145	563	0 2 0
54.68	1.679	178	3 1 5
59.95	1.543	178	0 2 6
63.49	1.465	292	7 1 -3

Structure:
a = 10.9131 Å, b = 4.2897 Å, c = 14.1710 Å
α = 90.00°, β = 109.84°, γ = 90.00°
Space group C2/m (No. 12)
One atom of each set of equivalent atoms:
Tb (0.0265, 0.0000, 0.3813) (multiplicity 4)
Tb (0.1078, 0.0000, 0.9230) (multiplicity 4)
Tb (0.2372, 0.0000, 0.2358) (multiplicity 4)
Ga (0.0310, 0.5000, 0.2335) (multiplicity 4)
Ga (0.1079, 0.5000, 0.0763) (multiplicity 4)
Ga (0.1371, 0.5000, 0.5393) (multiplicity 4)
Rh (0.2434, 0.5000, 0.4009) (multiplicity 4)

---

Theoretical X-ray powder pattern
Compound: Ta2MnHRh
Radiation: Cu Ka
Structure: a crystal structure in Alexandria, relaxed with PBE
Peak positions follow from Bragg's law for the DFT cell and can differ from measured ones.

Most intense lines, 2θ from 5° to 70°, sorted by position:
2theta	d/Å	I/Imax	(hkl)
21.07	4.216	21	1 0 0
25.00	3.562	115	0 0 1
29.98	2.981	142	1 1 0
32.92	2.721	16	1 0 1
39.42	2.286	1000	1 1 1
42.91	2.108	397	2 0 0
50.30	1.814	75	2 0 1
51.30	1.781	118	0 0 2
60.56	1.529	44	1 1 2
62.29	1.490	130	2 2 0
68.21	1.375	31	2 2 1
69.04	1.360	191	2 0 2

Structure:
a = 4.2157 Å, b = 4.2157 Å, c = 3.5620 Å
α = 90.00°, β = 90.00°, γ = 90.00°
Space group P4/mmm (No. 123)
One atom of each set of equivalent atoms:
Ta (0.0000, 0.5000, 0.0000) (multiplicity 2)
Mn (0.0000, 0.0000, 0.5000) (multiplicity 1)
H (0.0000, 0.0000, 0.0000) (multiplicity 1)
Rh (0.5000, 0.5000, 0.5000) (multiplicity 1)

---

Which formula does entry 9 have?
TbNd2DyY6

---

Please write out number 9 again, unchanged.
Theoretical X-ray powder pattern
Compound: TbNd2DyY6
Radiation: Cu Ka
Structure: a crystal structure in Alexandria, relaxed with PBE
Peak positions follow from Bragg's law for the DFT cell and can differ from measured ones.

Most intense lines, 2θ from 5° to 70°, sorted by position:
2theta	d/Å	I/Imax	(hkl)
11.75	7.532	243	0 2 0
27.42	3.253	298	2 2 -2
28.63	3.118	451	1 3 2
30.17	2.962	531	0 2 3
30.36	2.944	544	3 1 -1
31.35	2.853	1000	1 5 0
31.77	2.816	792	2 2 2
32.20	2.780	259	1 5 -1
33.12	2.704	602	1 3 -3
52.14	1.754	191	4 2 -4
57.43	1.605	178	2 0 -6
61.80	1.501	157	6 0 -2

Structure:
a = 9.0933 Å, b = 15.0641 Å, c = 9.8087 Å
α = 90.00°, β = 99.85°, γ = 90.00°
Space group C2/c (No. 15)
One atom of each set of equivalent atoms:
Tb (0.0000, 0.0181, 0.2500) (multiplicity 4)
Nd (0.2428, 0.0499, 0.5441) (multiplicity 8)
Dy (0.0000, 0.4061, 0.7500) (multiplicity 4)
Y (0.0663, 0.1888, 0.9432) (multiplicity 8)
Y (0.1006, 0.3957, 0.1182) (multiplicity 8)
Y (0.2022, 0.2221, 0.3139) (multiplicity 8)